Record 1
Diffraction record for ScBe9Cr2. The powder X-ray diffraction pattern is computed, not measured: it uses a crystal structure in Alexandria, relaxed with PBE and Cu Kα (weighted mean of Kα1 and Kα2).
Peak positions follow from Bragg's law for the DFT cell and can differ from measured ones.

Crystal structure
```
data_ScBe9Cr2
_chemical_formula_sum 'Sc2 Be18 Cr4'
_cell_length_a 4.3298
_cell_length_b 4.3298
_cell_length_c 13.9794
_cell_angle_alpha 90.00
_cell_angle_beta 90.00
_cell_angle_gamma 120.00
_symmetry_space_group_name_H-M 'P 63/m m c'
_symmetry_Int_Tables_number 194
_symmetry_space_group_name_Hall '-P 6c 2c'
loop_
_atom_site_label
_atom_site_type_symbol
_atom_site_fract_x
_atom_site_fract_y
_atom_site_fract_z
Sc1 Sc 0.3333 0.6667 0.2500
Be1 Be 0.0000 0.0000 0.0000
Be2 Be 0.0000 0.0000 0.2500
Be3 Be 0.1696 0.3392 0.6208
Be4 Be 0.3333 0.6667 0.7500
Cr1 Cr 0.3333 0.6667 0.0274
```

Top 10 peaks for 5 to 70 degrees two-theta, by angle:
(0 0 2), 2θ 12.7, I 62; (1 0 0), 2θ 23.7, I 61; (1 0 1), 2θ 24.6, I 51; (0 0 4), 2θ 25.5, I 55; (1 0 4), 2θ 35.1, I 43; (1 0 5), 2θ 40.2, I 96; (1 1 0), 2θ 41.7, I 88; (2 0 1), 2θ 49.0, I 21; (1 1 4), 2θ 49.5, I 100; (1 0 9), 2θ 65.0, I 24

Record 2
Diffraction record for Pm2ThGa2. The powder X-ray diffraction pattern is computed, not measured: it uses a crystal structure in Alexandria, relaxed with PBE and Cu Kα (weighted mean of Kα1 and Kα2).
Peak positions follow from Bragg's law for the DFT cell and can differ from measured ones.

Crystal structure
```
data_Pm2ThGa2
_chemical_formula_sum 'Pm4 Th2 Ga4'
_cell_length_a 6.030
_cell_length_b 3.927
_cell_length_c 12.390
_cell_angle_alpha 90.00
_cell_angle_beta 98.44
_cell_angle_gamma 90.00
_symmetry_space_group_name_H-M 'P 1 21/m 1'
_symmetry_Int_Tables_number 11
_symmetry_space_group_name_Hall '-P 2yb'
loop_
_atom_site_label
_atom_site_type_symbol
_atom_site_fract_x
_atom_site_fract_y
_atom_site_fract_z
Pm1 Pm 0.077 0.250 0.366
Pm2 Pm 0.222 0.750 0.927
Th1 Th 0.467 0.250 0.713
Ga1 Ga 0.291 0.250 0.121
Ga2 Ga 0.360 0.750 0.519
```

Top 10 peaks for 5 to 70 degrees two-theta, by angle:
(1 1 -1), 2θ 27.6, I 87; (1 0 -4), 2θ 30.8, I 39; (2 0 -2), 2θ 31.4, I 65; (0 1 3), 2θ 31.6, I 98; (1 1 2), 2θ 32.0, I 100; (1 1 -4), 2θ 38.6, I 35; (2 1 1), 2θ 39.5, I 47; (1 0 5), 2θ 41.9, I 35; (0 2 0), 2θ 46.2, I 33; (2 1 -5), 2θ 50.3, I 30

Record 3
Diffraction record for Pu3CoGe2. The powder X-ray diffraction pattern is computed, not measured: it uses a crystal structure in Alexandria, relaxed with PBE and Cu Kα (weighted mean of Kα1 and Kα2).
Peak positions follow from Bragg's law for the DFT cell and can differ from measured ones.

Crystal structure
```
data_Pu3CoGe2
_chemical_formula_sum 'Pu12 Co4 Ge8'
_cell_length_a 11.637
_cell_length_b 4.407
_cell_length_c 9.160
_cell_angle_alpha 90.00
_cell_angle_beta 90.00
_cell_angle_gamma 90.00
_symmetry_space_group_name_H-M 'P n m a'
_symmetry_Int_Tables_number 62
_symmetry_space_group_name_Hall '-P 2ac 2n'
loop_
_atom_site_label
_atom_site_type_symbol
_atom_site_fract_x
_atom_site_fract_y
_atom_site_fract_z
Pu1 Pu 0.050 0.250 0.116
Pu2 Pu 0.161 0.750 0.610
Pu3 Pu 0.242 0.250 0.762
Co1 Co 0.099 0.250 0.400
Ge1 Ge 0.009 0.750 0.343
Ge2 Ge 0.195 0.750 0.958
```

Top 10 peaks for 5 to 70 degrees two-theta, by angle:
(2 1 1), 2θ 27.2, I 39; (4 0 1), 2θ 32.3, I 44; (0 1 3), 2θ 35.8, I 100; (3 1 2), 2θ 36.6, I 98; (4 1 0), 2θ 37.0, I 36; (4 1 1), 2θ 38.4, I 41; (0 2 0), 2θ 41.0, I 55; (2 0 4), 2θ 42.4, I 20; (4 0 3), 2θ 42.9, I 18; (4 1 4), 2θ 55.1, I 20

Record 4
Diffraction record for Sr3SnI8. The powder X-ray diffraction pattern is computed, not measured: it uses a crystal structure in Alexandria, relaxed with PBE and Cu Kα (weighted mean of Kα1 and Kα2).
Peak positions follow from Bragg's law for the DFT cell and can differ from measured ones.

Crystal structure
```
data_Sr3SnI8
_chemical_formula_sum 'Sr6 Sn2 I16'
_cell_length_a 9.223
_cell_length_b 14.099
_cell_length_c 9.399
_cell_angle_alpha 90.00
_cell_angle_beta 90.00
_cell_angle_gamma 90.00
_symmetry_space_group_name_H-M 'C 2 2 2'
_symmetry_Int_Tables_number 21
_symmetry_space_group_name_Hall 'C 2 2'
loop_
_atom_site_label
_atom_site_type_symbol
_atom_site_fract_x
_atom_site_fract_y
_atom_site_fract_z
Sr1 Sr 0.000 0.000 0.000
Sr2 Sr 0.250 0.250 0.749
Sn1 Sn 0.000 0.000 0.500
I1 I 0.000 0.228 0.500
I2 I 0.000 0.234 0.000
I3 I 0.246 0.015 0.744
```

Top 10 peaks for 5 to 70 degrees two-theta, by angle:
(1 1 0), 2θ 11.5, I 30; (1 1 1), 2θ 14.9, I 23; (0 2 2), 2θ 22.7, I 28; (2 2 0), 2θ 23.0, I 28; (0 4 0), 2θ 25.3, I 52; (2 0 2), 2θ 27.1, I 100; (2 4 2), 2θ 37.4, I 73; (0 0 4), 2θ 38.3, I 20; (0 4 4), 2θ 46.4, I 20; (4 4 0), 2θ 47.1, I 19

Record 5
Diffraction record for TaAlPb. The powder X-ray diffraction pattern is computed, not measured: it uses a crystal structure in Alexandria, relaxed with PBE and Cu Kα (weighted mean of Kα1 and Kα2).
Peak positions follow from Bragg's law for the DFT cell and can differ from measured ones.

Crystal structure
```
data_TaAlPb
_chemical_formula_sum 'Ta2 Al2 Pb2'
_cell_length_a 3.006
_cell_length_b 3.006
_cell_length_c 14.419
_cell_angle_alpha 90.00
_cell_angle_beta 90.00
_cell_angle_gamma 90.00
_symmetry_space_group_name_H-M 'I 4 m m'
_symmetry_Int_Tables_number 107
_symmetry_space_group_name_Hall 'I 4 -2'
loop_
_atom_site_label
_atom_site_type_symbol
_atom_site_fract_x
_atom_site_fract_y
_atom_site_fract_z
Ta1 Ta 0.000 0.000 0.000
Al1 Al 0.000 0.000 0.629
Pb1 Pb 0.000 0.000 0.329
```

Top 10 peaks for 5 to 70 degrees two-theta, by angle:
(0 0 2), 2θ 12.3, I 44; (0 0 4), 2θ 24.7, I 15; (1 0 1), 2θ 30.4, I 26; (1 0 3), 2θ 35.2, I 100; (0 0 6), 2θ 37.4, I 20; (1 1 0), 2θ 42.5, I 31; (1 0 7), 2θ 54.0, I 10; (1 1 6), 2θ 57.9, I 23; (2 0 0), 2θ 61.7, I 10; (1 0 9), 2θ 66.1, I 14

Record 6
Diffraction record for Pu3Ga9Fe2. The powder X-ray diffraction pattern is computed, not measured: it uses a crystal structure in Alexandria, relaxed with PBE and Cu Kα (weighted mean of Kα1 and Kα2).
Peak positions follow from Bragg's law for the DFT cell and can differ from measured ones.

Crystal structure
```
data_Pu3Ga9Fe2
_chemical_formula_sum 'Pu6 Ga18 Fe4'
_cell_length_a 4.360
_cell_length_b 9.459
_cell_length_c 12.069
_cell_angle_alpha 90.00
_cell_angle_beta 90.00
_cell_angle_gamma 90.00
_symmetry_space_group_name_H-M 'I m m m'
_symmetry_Int_Tables_number 71
_symmetry_space_group_name_Hall '-I 2 2'
loop_
_atom_site_label
_atom_site_type_symbol
_atom_site_fract_x
_atom_site_fract_y
_atom_site_fract_z
Pu1 Pu 0.000 0.000 0.000
Pu2 Pu 0.000 0.000 0.301
Ga1 Ga 0.000 0.282 0.134
Ga2 Ga 0.000 0.360 0.351
Ga3 Ga 0.000 0.500 0.000
Fe1 Fe 0.000 0.162 0.500
```

Top 10 peaks for 5 to 70 degrees two-theta, by angle:
(0 2 0), 2θ 18.8, I 22; (1 1 0), 2θ 22.5, I 37; (0 1 3), 2θ 24.0, I 20; (1 0 3), 2θ 30.2, I 35; (1 3 0), 2θ 35.1, I 55; (0 2 4), 2θ 35.3, I 30; (1 2 3), 2θ 35.8, I 100; (0 3 3), 2θ 36.2, I 35; (1 1 4), 2θ 37.5, I 34; (2 0 0), 2θ 41.4, I 44